Entry 1:
Starting from a cell relaxed with PBE, the powder diffractogram of TbCrOs was calculated for a wavelength of 1.5418 Å.

Largest 12 diffraction maxima, by angle, 2θ = 10–90°:
2θ 16.7, 5.305 Å, rel. 160, (0 0 1); 2θ 26.5, 3.359 Å, rel. 192, (0 1 1); 2θ 30.5, 2.936 Å, rel. 495, (1 1 -1); 2θ 33.8, 2.653 Å, rel. 394, (0 0 2); 2θ 34.5, 2.597 Å, rel. 1000, (1 1 1); 2θ 35.1, 2.553 Å, rel. 375, (1 0 -2); 2θ 41.6, 2.170 Å, rel. 453, (0 2 0); 2θ 43.1, 2.097 Å, rel. 288, (2 1 0); 2θ 43.5, 2.083 Å, rel. 418, (2 1 -1); 2θ 54.6, 1.680 Å, rel. 200, (0 2 2); 2θ 55.6, 1.653 Å, rel. 205, (1 2 -2); 2θ 56.2, 1.638 Å, rel. 166, (0 1 3)

Crystal structure
```
data_TbCrOs
_chemical_formula_sum 'Tb2 Cr2 Os2'
_cell_length_a 4.896
_cell_length_b 4.340
_cell_length_c 5.421
_cell_angle_alpha 90.00
_cell_angle_beta 101.84
_cell_angle_gamma 90.00
_symmetry_space_group_name_H-M 'P 1'
_symmetry_Int_Tables_number 1
loop_
_symmetry_equiv_pos_as_xyz
'x,y,z'
loop_
_atom_site_label
_atom_site_fract_x
_atom_site_fract_y
_atom_site_fract_z
Tb1 0.246 0.250 0.440
Tb2 0.754 0.750 0.560
Cr1 0.079 0.250 0.920
Cr2 0.921 0.750 0.080
Os1 0.359 0.750 0.940
Os2 0.641 0.250 0.060
```

Entry 2:
Starting from a cell relaxed with PBE, the powder diffractogram of TmCrOs was calculated for a wavelength of 1.5418 Å.

Largest 12 diffraction maxima, by angle, 2θ = 10–90°:
2θ 24.6, 3.616 Å, rel. 150, (0 0 2); 2θ 34.5, 2.599 Å, rel. 430, (1 1 2); 2θ 35.3, 2.544 Å, rel. 324, (2 0 0); 2θ 39.2, 2.297 Å, rel. 1000, (1 2 1); 2θ 40.9, 2.208 Å, rel. 139, (0 1 3); 2θ 41.0, 2.200 Å, rel. 282, (2 1 1); 2θ 41.2, 2.191 Å, rel. 273, (0 2 2); 2θ 41.5, 2.178 Å, rel. 435, (1 0 3); 2θ 43.5, 2.081 Å, rel. 228, (2 0 2); 2θ 61.3, 1.511 Å, rel. 137, (0 2 4); 2θ 66.0, 1.416 Å, rel. 220, (3 2 1); 2θ 72.8, 1.299 Å, rel. 288, (2 2 4)

Crystal structure
```
data_TmCrOs
_chemical_formula_sum 'Tm4 Cr4 Os4'
_cell_length_a 5.088
_cell_length_b 5.509
_cell_length_c 7.231
_cell_angle_alpha 90.00
_cell_angle_beta 90.00
_cell_angle_gamma 90.00
_symmetry_space_group_name_H-M 'P 1'
_symmetry_Int_Tables_number 1
loop_
_symmetry_equiv_pos_as_xyz
'x,y,z'
loop_
_atom_site_label
_atom_site_fract_x
_atom_site_fract_y
_atom_site_fract_z
Tm1 0.000 0.250 0.126
Tm2 0.000 0.750 0.874
Tm3 0.500 0.250 0.374
Tm4 0.500 0.750 0.626
Cr1 0.250 0.250 0.750
Cr2 0.250 0.750 0.250
Cr3 0.750 0.250 0.750
Cr4 0.750 0.750 0.250
Os1 0.000 0.000 0.500
Os2 0.000 0.500 0.500
Os3 0.500 0.000 0.000
Os4 0.500 0.500 0.000
```

Entry 3:
Starting from a cell relaxed with PBE, the powder diffractogram of VCr2Os was calculated for a wavelength of 1.5418 Å.

Largest 10 diffraction maxima, by angle, 2θ = 10–90°:
2θ 26.2, 3.399 Å, rel. 397, (1 1 1); 2θ 30.4, 2.944 Å, rel. 185, (2 0 0); 2θ 43.5, 2.082 Å, rel. 1000, (2 2 0); 2θ 51.5, 1.775 Å, rel. 205, (3 1 1); 2θ 53.9, 1.700 Å, rel. 55, (2 2 2); 2θ 63.2, 1.472 Å, rel. 157, (4 0 0); 2θ 69.6, 1.351 Å, rel. 87, (3 3 1); 2θ 71.7, 1.317 Å, rel. 74, (4 2 0); 2θ 79.8, 1.202 Å, rel. 314, (4 2 2); 2θ 85.7, 1.133 Å, rel. 70, (5 1 1)

Crystal structure
```
data_VCr2Os
_chemical_formula_sum 'V4 Cr8 Os4'
_cell_length_a 5.888
_cell_length_b 5.888
_cell_length_c 5.888
_cell_angle_alpha 90.00
_cell_angle_beta 90.00
_cell_angle_gamma 90.00
_symmetry_space_group_name_H-M 'P 1'
_symmetry_Int_Tables_number 1
loop_
_symmetry_equiv_pos_as_xyz
'x,y,z'
loop_
_atom_site_label
_atom_site_fract_x
_atom_site_fract_y
_atom_site_fract_z
V1 0.000 0.000 0.000
V2 0.000 0.500 0.500
V3 0.500 0.000 0.500
V4 0.500 0.500 0.000
Cr1 0.250 0.250 0.250
Cr2 0.250 0.250 0.750
Cr3 0.250 0.750 0.250
Cr4 0.250 0.750 0.750
Cr5 0.750 0.250 0.250
Cr6 0.750 0.250 0.750
Cr7 0.750 0.750 0.250
Cr8 0.750 0.750 0.750
Os1 0.000 0.000 0.500
Os2 0.000 0.500 0.000
Os3 0.500 0.000 0.000
Os4 0.500 0.500 0.500
```